Theoretical powder diffractogram
Compound: NaVAsO5
Radiation: λ = 1.5418 Å (Cu Kα)
Structure: a structure optimized by DFT (PBE+U)

Top 10 peaks for 2θ from 15° to 90°, sorted by position:
d [Å]	2theta	intensity	h k l
4.908	18.08	83.4	1 1 -1
3.677	24.21	31.3	0 2 1
3.480	25.59	49.1	1 1 1
3.320	26.85	100.0	1 1 -2
3.094	28.85	91.8	2 0 0
2.670	33.56	90.4	1 3 0
2.638	33.98	61.2	0 2 2
1.740	52.59	24.1	2 2 2
1.692	54.20	36.5	3 3 0
1.525	60.74	24.4	1 3 -4

Crystal structure
```
NaVAsO5
1.0
6.8070 0.0000 0.0000
0.0000 8.8798 0.0000
-3.0044 0.0000 6.5591
Na V As O
4 4 4 20
Direct
0.2424 0.0775 0.2333
0.2424 0.4225 0.7333
0.7576 0.5775 0.2667
0.7576 0.9225 0.7667
0.2557 0.7416 0.9828
0.2557 0.7584 0.4828
0.7443 0.2416 0.5172
0.7443 0.2584 0.0172
0.2490 0.0659 0.7477
0.2490 0.4341 0.2477
0.7510 0.5659 0.7523
0.7510 0.9341 0.2523
0.0524 0.1797 0.5772
0.0524 0.3203 0.0772
0.1521 0.5428 0.3906
0.1521 0.9572 0.8906
0.2482 0.6908 0.7492
0.2482 0.8092 0.2492
0.3645 0.5412 0.1197
0.3645 0.9588 0.6197
0.4322 0.1931 0.9065
0.4322 0.3069 0.4065
0.5678 0.6931 0.5935
0.5678 0.8069 0.0935
0.6355 0.0412 0.3803
0.6355 0.4588 0.8803
0.7518 0.1908 0.7508
0.7518 0.3092 0.2508
0.8479 0.0428 0.1094
0.8479 0.4572 0.6094
0.9476 0.6797 0.9228
0.9476 0.8203 0.4228
```